Diffraction record for Y3CoBi. The powder XRD pattern is theoretical, not measured: it uses a crystal structure in Alexandria, relaxed with GGA-PBE and Cu Kα (weighted mean of Kα1 and Kα2).
Kinematic intensities with the Lorentz-polarization factor, no thermal factor.

Structure:
```
Y3CoBi
1.0
8.0754 0.0000 0.0000
0.0000 4.2866 0.0000
-3.5222 0.0000 7.6410
Y Co Bi
6 2 2
Cartesian
-0.5202 1.0716 1.8415
0.5432 3.2149 4.5013
-0.5750 1.0716 6.9529
5.1282 3.2149 0.6881
4.0100 1.0716 3.1397
5.0734 3.2149 5.7995
-1.5420 1.0716 4.4158
6.0952 3.2149 3.2252
1.9376 3.2149 1.5219
2.6156 1.0716 6.1192
```

Peak list (6 most intense, 2θ = 5–70°, low angle first)
(2 1 -1), 30.45°, I 71; (2 1 0), 32.12°, I 53; (2 1 -2), 33.23°, I 100; (3 0 0), 36.76°, I 63; (1 1 2), 37.23°, I 57; (0 2 0), 42.16°, I 82